Theoretical X-ray diffraction stick pattern of ScHCl for a wavelength of 1.5418 Å, from DFT lattice parameters and positions (PBE).

Most intense lines, 10° ≤ 2θ ≤ 80°, in order of rising 2θ:
- 2θ 19.21, I 235, (0 0 6)
- 2θ 32.15, I 1000, (1 0 4)
- 2θ 37.29, I 109, (1 0 7)
- 2θ 39.43, I 343, (0 1 8)
- 2θ 44.22, I 139, (1 0 10)
- 2θ 46.82, I 110, (0 1 11)
- 2θ 52.11, I 256, (1 1 0)
- 2θ 62.57, I 119, (0 2 4)

```
data_ScHCl
_symmetry_space_group_name_H-M 'R -3 m'
_symmetry_Int_Tables_number 166
_symmetry_space_group_name_Hall '-R 3 2"'
_cell_length_a 3.5101
_cell_length_b 3.5101
_cell_length_c 27.7236
_cell_angle_alpha 90.00
_cell_angle_beta 90.00
_cell_angle_gamma 120.00
loop_
_atom_site_label
_atom_site_type_symbol
_atom_site_fract_x
_atom_site_fract_y
_atom_site_fract_z
Sc1 Sc 0.0000 0.0000 0.1213
H1 H 0.0000 0.0000 0.1936
Cl1 Cl 0.0000 0.0000 0.3964
```